Entry 1:
Computed XRD peak list
Compound: Hf3Cu8
Radiation: Cu Kα, 1.54184 Å
Structure: a structure optimized by DFT (PBE)

Structural model:
Lattice parameters (Å, degrees): 7.8420 8.1263 9.9662 90.00 90.00 90.00
Space group Pnma (No. 62)
Unique sites:
Hf1 0.0384 0.2500 0.0469 x4
Hf2 0.0619 0.5540 0.6399 x8
Cu1 0.1163 0.7500 0.4042 x4
Cu2 0.1216 0.5749 0.1599 x8
Cu3 0.1297 0.2500 0.7656 x4
Cu4 0.1764 0.2500 0.5166 x4
Cu5 0.1985 0.9997 0.9070 x8
Cu6 0.2161 0.2500 0.2725 x4

Largest 6 diffraction maxima, sorted by position, 2θ = 5–70°:
h k l, 2θ (°), intensity
3 0 2, 38.9, 39
1 3 2, 39.6, 100
2 3 0, 40.5, 37
3 2 1, 42.1, 68
0 2 4, 42.6, 43
0 4 0, 44.5, 46

Entry 2:
Computed XRD peak list
Compound: HfCu2HgS4
Radiation: Cu Kα, 1.54184 Å
Structure: a structure optimized by DFT (PBE)

Structural model:
Lattice parameters (Å, degrees): 5.6119 5.6119 11.0031 90.00 90.00 90.00
Space group I-42m (No. 121)
Unique sites:
Hf1 0.0000 0.0000 0.0000 x2
Cu1 0.0000 0.5000 0.2500 x4
Hg1 0.0000 0.0000 0.5000 x2
S1 0.2366 0.2366 0.8613 x8

Largest 6 diffraction maxima, sorted by position, 2θ = 5–70°:
h k l, 2θ (°), intensity
1 1 0, 22.4, 16
1 1 2, 27.7, 100
2 0 0, 31.9, 18
2 2 0, 45.7, 18
2 0 4, 46.2, 35
3 1 2, 54.3, 30

Entry 3:
Computed XRD peak list
Compound: HoHfCu4
Radiation: Cu Kα, 1.54184 Å
Structure: a structure optimized by DFT (PBE)

Structural model:
Lattice parameters (Å, degrees): 7.2522 7.2522 7.2522 90.00 90.00 90.00
Space group F-43m (No. 216)
Unique sites:
Ho1 0.0000 0.0000 0.0000 x4
Hf1 0.2500 0.2500 0.7500 x4
Cu1 0.1244 0.1244 0.3756 x16

Largest 6 diffraction maxima, sorted by position, 2θ = 5–70°:
h k l, 2θ (°), intensity
1 1 1, 21.2, 13
2 2 0, 35.0, 63
3 1 1, 41.3, 100
2 2 2, 43.2, 16
4 2 2, 62.8, 24
5 1 1, 67.1, 31

Entry 4:
Computed XRD peak list
Compound: HoHfCu
Radiation: Cu Kα, 1.54184 Å
Structure: a structure optimized by DFT (PBE)

Structural model:
Lattice parameters (Å, degrees): 3.3122 3.3122 11.5899 90.00 90.00 90.00
Space group I4mm (No. 107)
Unique sites:
Ho1 0.0000 0.0000 0.0000 x2
Hf1 0.0000 0.0000 0.3020 x2
Cu1 0.0000 0.0000 0.6756 x2

Largest 6 diffraction maxima, sorted by position, 2θ = 5–70°:
h k l, 2θ (°), intensity
1 0 1, 28.0, 21
1 0 3, 35.7, 100
1 1 0, 38.4, 45
2 0 0, 55.5, 16
1 1 6, 62.3, 14
2 1 3, 67.8, 31